Calculated powder diffractogram of Tl3AgSe6 for CuKα, from a DFT-relaxed cell (PBE, Alexandria).
Lines closer than 0.1° are merged.

Top 10 peaks for 10 to 90 degrees two-theta, in order of rising 2θ:
2θ (°)	I (rel.)
28.20	28
28.70	100
32.19	59
36.55	11
36.83	17
47.02	14
47.88	11
48.51	22
51.81	13
57.34	12

Cell lengths 13.5322, 13.5322, 10.7387 Å; angles 90.00, 90.00, 120.00 degrees
Space group R-3c (No. 167, hexagonal axes)
Asymmetric unit:
1 Tl 0.0000 0.4110 0.2500 (multiplicity 18)
2 Ag 0.0000 0.0000 0.0000 (multiplicity 6)
3 Se 0.0392 0.1810 0.3515 (multiplicity 36)